No. 1
Li2Mn2CrO6: simulated X-ray diffraction stick pattern (Cu Kα), based on the PBE+U geometry in Alexandria.
Intensities are scaled so that the largest is 100.

Structural model:
```
data_Li2Mn2CrO6
_space_group_name_H-M_alt 'A e a 2'
_space_group_IT_number 41
_cell_length_a 10.2868
_cell_length_b 5.3098
_cell_length_c 8.7621
_cell_angle_alpha 90.00
_cell_angle_beta 90.00
_cell_angle_gamma 90.00
loop_
_space_group_symop_operation_xyz
'x,y,z'
'-x,-y,z'
'-x+1/2,y+1/2,z'
'x+1/2,-y+1/2,z'
'x,y+1/2,z+1/2'
'-x,-y+1/2,z+1/2'
'-x+1/2,y,z+1/2'
'x+1/2,-y,z+1/2'
loop_
_atom_site_label
_atom_site_type_symbol
_atom_site_fract_x
_atom_site_fract_y
_atom_site_fract_z
Li1 Li 0.2225 0.1945 0.0000
Mn1 Mn 0.0000 0.0000 0.1637
Mn2 Mn 0.0000 0.0000 0.4951
Cr1 Cr 0.0000 0.0000 0.8286
O1 O 0.0951 0.3224 0.1560
O2 O 0.0961 0.3357 0.8322
O3 O 0.1109 0.3731 0.5021
```

Most intense lines, 2θ = 5–70°, by intensity:
17.24 deg, I 100, (2 0 0); 44.16 deg, I 31, (3 1 3); 36.17 deg, I 25, (1 1 3); 38.15 deg, I 18, (2 2 0); 57.47 deg, I 17, (5 1 3); 61.97 deg, I 16, (1 3 3); 49.34 deg, I 11, (4 2 0); 33.76 deg, I 7, (0 2 0); 39.32 deg, I 7, (2 1 3); 34.89 deg, I 6, (4 0 0); 64.72 deg, I 5, (6 2 0); 63.73 deg, I 4, (0 0 6)

---

No. 2
HoMnO: simulated X-ray diffraction stick pattern (Cu Kα), based on the PBE+U geometry in Alexandria.
Intensities are scaled so that the largest is 100.

Structural model:
```
data_HoMnO
_space_group_name_H-M_alt 'P 4/m m m'
_space_group_IT_number 123
_space_group_name_Hall '-P 4 2'
_cell_length_a 3.3512
_cell_length_b 3.3512
_cell_length_c 4.3660
_cell_angle_alpha 90.00
_cell_angle_beta 90.00
_cell_angle_gamma 90.00
loop_
_atom_site_label
_atom_site_type_symbol
_atom_site_fract_x
_atom_site_fract_y
_atom_site_fract_z
Ho1 Ho 0.0000 0.0000 0.0000
Mn1 Mn 0.5000 0.5000 0.5000
O1 O 0.5000 0.5000 0.0000
```

Most intense lines, 2θ = 5–70°, by intensity:
33.72 deg, I 100, (1 0 1); 37.97 deg, I 49, (1 1 0); 20.34 deg, I 33, (0 0 1); 65.89 deg, I 29, (2 1 1); 57.39 deg, I 28, (1 1 2); 41.36 deg, I 19, (0 0 2); 43.45 deg, I 18, (1 1 1); 26.60 deg, I 17, (1 0 0); 54.79 deg, I 16, (2 0 0); 59.05 deg, I 8, (2 0 1); 49.85 deg, I 7, (1 0 2); 61.91 deg, I 4, (2 1 0)

---

> Number 1 is which compound?

Li2Mn2CrO6